[1]
For K2LiYBr6, a DFT-relaxed cell (GGA-PBE, the Materials Project) gives the calculated PXRD pattern in this record (Cu Kα (weighted mean of Kα1 and Kα2)).

Atomic structure:
```
data_K2LiYBr6
_chemical_formula_sum 'K8 Li4 Y4 Br24'
_symmetry_space_group_name_H-M 'F m -3 m'
_symmetry_Int_Tables_number 225
_symmetry_space_group_name_Hall '-F 4 2 3'
_cell_length_a 11.0272
_cell_length_b 11.0272
_cell_length_c 11.0272
_cell_angle_alpha 90.00
_cell_angle_beta 90.00
_cell_angle_gamma 90.00
loop_
_atom_site_label
_atom_site_type_symbol
_atom_site_fract_x
_atom_site_fract_y
_atom_site_fract_z
_atom_site_occupancy
K1 K 0.2500 0.2500 0.2500 1
Li1 Li 0.0000 0.0000 0.0000 1
Y1 Y 0.0000 0.0000 0.5000 1
Br1 Br 0.0000 0.0000 0.2472 1
```

Largest 12 diffraction maxima, low angle first, 2θ from 5° to 70°:
13.9 deg, rel. 14, hkl 1 1 1; 16.1 deg, rel. 39, hkl 2 0 0; 26.8 deg, rel. 11, hkl 3 1 1; 28.0 deg, rel. 100, hkl 2 2 2; 32.5 deg, rel. 99, hkl 4 0 0; 35.5 deg, rel. 7, hkl 3 3 1; 36.4 deg, rel. 20, hkl 4 2 0; 46.6 deg, rel. 69, hkl 4 4 0; 49.6 deg, rel. 11, hkl 6 0 0; 55.3 deg, rel. 41, hkl 6 2 2; 57.9 deg, rel. 24, hkl 4 4 4; 68.0 deg, rel. 11, hkl 8 0 0



[2]
For Lu3AlO6, a DFT-relaxed cell (GGA-PBE, the Materials Project) gives the calculated PXRD pattern in this record (Cu Kα (weighted mean of Kα1 and Kα2)).

Atomic structure:
```
data_Lu3AlO6
_chemical_formula_sum 'Lu18 Al6 O36'
_symmetry_space_group_name_H-M 'R -3'
_symmetry_Int_Tables_number 148
_symmetry_space_group_name_Hall '-R 3'
_cell_length_a 9.0627
_cell_length_b 9.0627
_cell_length_c 10.5197
_cell_angle_alpha 90.00
_cell_angle_beta 90.00
_cell_angle_gamma 120.00
loop_
_atom_site_label
_atom_site_type_symbol
_atom_site_fract_x
_atom_site_fract_y
_atom_site_fract_z
_atom_site_occupancy
Lu1 Lu 0.0416 0.2673 0.2048 1
Al1 Al 0.0000 0.0000 0.0000 1
Al2 Al 0.0000 0.0000 0.5000 1
O1 O 0.0275 0.1822 0.8872 1
O2 O 0.0266 0.1995 0.4032 1
```

Largest 12 diffraction maxima, low angle first, 2θ from 5° to 70°:
19.6 deg, rel. 21, hkl 1 1 0; 25.4 deg, rel. 39, hkl 0 0 3; 31.3 deg, rel. 100, hkl 2 1 1; 32.3 deg, rel. 42, hkl 1 1 3; 34.7 deg, rel. 41, hkl 3 -2 2; 45.1 deg, rel. 21, hkl 4 -1 2; 46.1 deg, rel. 24, hkl 2 1 4; 49.6 deg, rel. 13, hkl 0 4 2; 51.5 deg, rel. 13, hkl 3 2 1; 53.5 deg, rel. 19, hkl 1 4 0; 56.3 deg, rel. 17, hkl 2 -1 6; 60.1 deg, rel. 14, hkl 5 -1 3



[3]
For Cu7Te2S2O20, a DFT-relaxed cell (GGA-PBE, the Materials Project) gives the calculated PXRD pattern in this record (Cu Kα (weighted mean of Kα1 and Kα2)).

Atomic structure:
```
data_Cu7Te2S2O20
_chemical_formula_sum 'Cu7 Te2 S2 O20'
_symmetry_space_group_name_H-M 'P -1'
_symmetry_Int_Tables_number 2
_cell_length_a 7.0813
_cell_length_b 7.6173
_cell_length_c 7.9453
_cell_angle_alpha 78.23
_cell_angle_beta 77.94
_cell_angle_gamma 86.01
loop_
_symmetry_equiv_pos_as_xyz
'x,y,z'
'-x,-y,-z'
loop_
_atom_site_label
_atom_site_type_symbol
_atom_site_fract_x
_atom_site_fract_y
_atom_site_fract_z
_atom_site_occupancy
Cu1 Cu 0.0000 0.0000 0.0000 1
Cu2 Cu 0.0000 0.5000 0.5000 1
Cu3 Cu 0.2465 0.4729 0.7378 1
Cu4 Cu 0.3807 0.8276 0.8018 1
Cu5 Cu 0.5000 0.5000 0.0000 1
Te1 Te 0.1246 0.1873 0.2420 1
S1 S 0.3930 0.7826 0.3351 1
O1 O 0.0030 0.4237 0.2792 1
O2 O 0.1352 0.9397 0.7884 1
O3 O 0.1508 0.1911 0.9969 1
O4 O 0.1945 0.7712 0.3090 1
O5 O 0.2017 0.3674 0.5657 1
O6 O 0.2816 0.5971 0.9078 1
O7 O 0.3816 0.3107 0.1742 1
O8 O 0.4078 0.7578 0.5188 1
O9 O 0.4651 0.9616 0.2301 1
O10 O 0.4922 0.3640 0.7510 1
```

Largest 12 diffraction maxima, low angle first, 2θ from 5° to 70°:
18.2 deg, rel. 59, hkl 0 1 -1; 21.4 deg, rel. 25, hkl -1 1 1; 23.4 deg, rel. 100, hkl 1 1 -1; 24.1 deg, rel. 26, hkl 0 1 2; 28.6 deg, rel. 20, hkl 0 2 -1; 28.7 deg, rel. 38, hkl 2 -1 0; 29.1 deg, rel. 22, hkl -1 2 1; 32.2 deg, rel. 21, hkl 1 2 -1; 34.7 deg, rel. 21, hkl 1 1 3; 36.2 deg, rel. 45, hkl 2 2 2; 38.4 deg, rel. 25, hkl 1 2 3; 47.7 deg, rel. 29, hkl 0 0 4



[4]
For Li4Bi2C4SO16, a DFT-relaxed cell (GGA-PBE, the Materials Project) gives the calculated PXRD pattern in this record (Cu Kα (weighted mean of Kα1 and Kα2)).

Atomic structure:
```
data_Li4Bi2C4SO16
_chemical_formula_sum 'Li8 Bi4 C8 S2 O32'
_symmetry_space_group_name_H-M 'P 1'
_symmetry_Int_Tables_number 1
_cell_length_a 9.6439
_cell_length_b 9.8028
_cell_length_c 9.8609
_cell_angle_alpha 116.70
_cell_angle_beta 93.90
_cell_angle_gamma 116.81
loop_
_symmetry_equiv_pos_as_xyz
'x,y,z'
loop_
_atom_site_label
_atom_site_type_symbol
_atom_site_fract_x
_atom_site_fract_y
_atom_site_fract_z
_atom_site_occupancy
Li1 Li 0.0000 0.0000 0.0000 1
Li2 Li 0.0074 0.3677 0.9899 1
Li3 Li 0.0188 0.3854 0.3868 1
Li4 Li 0.2821 0.9160 0.7882 1
Li5 Li 0.2960 0.8980 0.1450 1
Li6 Li 0.4168 0.3841 0.0101 1
Li7 Li 0.4415 0.4511 0.4333 1
Li8 Li 0.6430 0.8863 0.1495 1
Bi1 Bi 0.3615 0.1467 0.5803 1
Bi2 Bi 0.8449 0.1448 0.5797 1
Bi3 Bi 0.8481 0.6484 0.0864 1
Bi4 Bi 0.8521 0.6594 0.5747 1
C1 C 0.0195 0.5877 0.8131 1
C2 C 0.0582 0.0852 0.3321 1
C3 C 0.0866 0.0963 0.7725 1
C4 C 0.0901 0.7097 0.3755 1
C5 C 0.6192 0.5873 0.7870 1
C6 C 0.6248 0.2202 0.4003 1
C7 C 0.6325 0.2285 0.8260 1
C8 C 0.6558 0.6970 0.3311 1
S1 S 0.2118 0.3781 0.1943 1
S2 S 0.4641 0.8909 0.9572 1
O1 O 0.0098 0.4494 0.8066 1
O2 O 0.0136 0.5959 0.6843 1
O3 O 0.0253 0.2590 0.1272 1
O4 O 0.0353 0.7195 0.9475 1
O5 O 0.0433 0.2069 0.4461 1
O6 O 0.0905 0.9791 0.7980 1
O7 O 0.0984 0.7125 0.2470 1
O8 O 0.1897 0.0802 0.3550 1
O9 O 0.1899 0.8548 0.5194 1
O10 O 0.2068 0.2023 0.7462 1
O11 O 0.2606 0.4901 0.3735 1
O12 O 0.2654 0.4856 0.1181 1
O13 O 0.2840 0.2643 0.1520 1
O14 O 0.3938 0.0088 0.0183 1
O15 O 0.4003 0.7912 0.7791 1
O16 O 0.4036 0.7700 0.0235 1
O17 O 0.4870 0.0798 0.3674 1
O18 O 0.4911 0.4720 0.6586 1
O19 O 0.4978 0.2154 0.8482 1
O20 O 0.6149 0.5868 0.9194 1
O21 O 0.6226 0.1280 0.6774 1
O22 O 0.6297 0.3672 0.4318 1
O23 O 0.6378 0.5578 0.2020 1
O24 O 0.6412 0.6921 0.4581 1
O25 O 0.6471 0.9960 0.0233 1
O26 O 0.6979 0.8436 0.3310 1
O27 O 0.7598 0.2194 0.4074 1
O28 O 0.7600 0.7041 0.7903 1
O29 O 0.7745 0.3446 0.9417 1
O30 O 0.9429 0.9656 0.1905 1
O31 O 0.9577 0.1092 0.7752 1
O32 O 0.9761 0.5666 0.3684 1
```

Largest 12 diffraction maxima, low angle first, 2θ from 5° to 70°:
10.7 deg, rel. 43, hkl 0 0 1; 10.9 deg, rel. 100, hkl 1 0 0; 11.0 deg, rel. 58, hkl 1 -1 0; 20.4 deg, rel. 46, hkl 0 2 -1; 20.9 deg, rel. 42, hkl -2 1 1; 21.5 deg, rel. 53, hkl 0 0 2; 21.9 deg, rel. 40, hkl 1 -2 2; 22.0 deg, rel. 61, hkl 0 2 -2; 22.1 deg, rel. 49, hkl 2 -2 0; 24.2 deg, rel. 47, hkl 0 2 0; 25.0 deg, rel. 45, hkl 2 0 -2; 26.8 deg, rel. 43, hkl 2 -2 2



[5]
For CsP7, a DFT-relaxed cell (GGA-PBE, the Materials Project) gives the calculated PXRD pattern in this record (Cu Kα (weighted mean of Kα1 and Kα2)).

Atomic structure:
```
data_CsP7
_chemical_formula_sum 'Cs4 P28'
_symmetry_space_group_name_H-M 'P b c m'
_symmetry_Int_Tables_number 57
_cell_length_a 9.5223
_cell_length_b 9.8126
_cell_length_c 9.7859
_cell_angle_alpha 90.00
_cell_angle_beta 90.00
_cell_angle_gamma 90.00
loop_
_symmetry_equiv_pos_as_xyz
'x,y,z'
'-x,-y,-z'
'-x,-y,z+1/2'
'x,y,-z+1/2'
'x,-y+1/2,-z'
'-x,y+1/2,z'
'-x,y+1/2,-z+1/2'
'x,-y+1/2,z+1/2'
loop_
_atom_site_label
_atom_site_type_symbol
_atom_site_fract_x
_atom_site_fract_y
_atom_site_fract_z
_atom_site_occupancy
Cs1 Cs 0.2131 0.2500 0.0000 1
P1 P 0.0901 0.6843 0.2500 1
P2 P 0.1667 0.6313 0.6351 1
P3 P 0.2529 0.5325 0.2500 1
P4 P 0.3898 0.6802 0.5904 1
P5 P 0.4342 0.6638 0.2500 1
```

Largest 12 diffraction maxima, low angle first, 2θ from 5° to 70°:
18.1 deg, rel. 68, hkl 0 2 0; 18.6 deg, rel. 31, hkl 2 0 0; 22.3 deg, rel. 100, hkl 1 1 2; 25.7 deg, rel. 30, hkl 0 2 2; 26.1 deg, rel. 24, hkl 2 0 2; 27.7 deg, rel. 26, hkl 2 1 2; 28.9 deg, rel. 31, hkl 1 3 0; 29.6 deg, rel. 43, hkl 3 1 0; 30.3 deg, rel. 19, hkl 1 1 3; 31.9 deg, rel. 46, hkl 2 2 2; 34.3 deg, rel. 17, hkl 1 3 2; 39.1 deg, rel. 24, hkl 1 1 4